[1]
The following is a calculated XRD peak list of BaZn3Rh. It was derived from the GGA-PBE geometry in Alexandria, using Cu Kα.
Lines closer than 0.1° are merged.

Principal peaks in the range 15 to 90 degrees two-theta, sorted by position:
h k l, 2θ/deg, intensity
1 0 1, 26.13, 30.4
-1 1 1, 26.78, 42.1
0 2 -2, 32.18, 77.9
1 2 -1, 35.82, 68.2
1 1 2, 40.53, 100.0
2 0 -1, 41.35, 67.2
1 1 -4, 42.86, 31.9
2 -2 1, 53.34, 36.1

a = 4.3673 Å, b = 6.1497 Å, c = 8.7809 Å
α = 105.13°, β = 104.34°, γ = 90.07°
Positions (direct):
Ba: 0.0000 0.0000 0.0000
Ba: 0.2846 0.6185 0.5680
Zn: 0.0886 0.5865 0.1783
Zn: 0.3654 0.1956 0.7313
Zn: 0.6380 0.8039 0.2763
Zn: 0.6426 0.2632 0.2849
Zn: 0.7783 0.1357 0.5568
Zn: 0.9253 0.4356 0.8509
Rh: 0.1949 0.0300 0.3897
Rh: 0.5167 0.4297 0.0342

---

[2]
The following is a calculated XRD peak list of BaZr2Rh. It was derived from the GGA-PBE geometry in Alexandria, using Cu Kα.
Lines closer than 0.1° are merged.

Principal peaks in the range 15 to 90 degrees two-theta, sorted by position:
h k l, 2θ/deg, intensity
1 0 1, 28.01, 20.5
0 0 3, 30.10, 19.0
1 0 2, 33.08, 100.0
1 1 0, 37.28, 56.9
1 0 3, 40.27, 26.0
1 1 3, 48.63, 19.6
2 0 0, 53.74, 19.4
2 1 2, 64.57, 27.9

a = 3.4115 Å, b = 3.4115 Å, c = 8.9065 Å
α = 90.00°, β = 90.00°, γ = 90.00°
Positions (direct):
Ba: 0.0000 0.0000 0.0000
Zr: 0.0000 0.0000 0.4193
Zr: 0.5000 0.5000 0.6453
Rh: 0.5000 0.5000 0.2723